Starting from a crystal structure in Alexandria, relaxed with GGA-PBE, the powder diffraction line list of InPb2Au5 was calculated for λ = 1.5418 Å (Cu Kα).
Peak positions follow from Bragg's law for the DFT cell and can differ from measured ones.

a b c (Å): 7.001 9.261 5.807
angles (deg): 90.00 109.27 90.00
Space group Cm (No. 8)
Inequivalent atoms, fractional coordinates:
In (0.000, 0.000, 0.000) (multiplicity 2)
Pb (0.221, 0.195, 0.576) (multiplicity 4)
Au (0.079, 0.500, 0.706) (multiplicity 2)
Au (0.208, 0.272, 0.073) (multiplicity 4)
Au (0.360, 0.500, 0.435) (multiplicity 2)
Au (0.435, 0.000, 0.143) (multiplicity 2)

Most intense lines, 10 to 90 degrees two-theta, most intense first:
two_theta, I_rel
33.31, 100
40.17, 72
38.13, 63
32.44, 47
32.68, 43
39.95, 39
38.90, 37
33.89, 35
49.73, 25
64.28, 23
41.17, 19
32.00, 15